[1]
The following is a calculated X-ray diffraction stick pattern of Hf2AlAu2. It was derived from DFT lattice parameters and positions (PBE), using Cu Kα, 1.54184 Å.

Structural model:
a = 7.264 Å, b = 7.264 Å, c = 3.056 Å
α = 90.00°, β = 90.00°, γ = 144.10°
Fractional positions:
Hf1 0.112 0.888 0.000
Hf2 0.888 0.112 0.000
Al1 0.500 0.500 0.500
Au1 0.310 0.690 0.500
Au2 0.690 0.310 0.500

Largest 12 diffraction maxima, sorted by position, 10° ≤ 2θ ≤ 90°:
Position (°2θ)  d_spacing  intensity
12.8  6.911  50
25.8  3.455  20
32.0  2.795  31
36.2  2.483  84
38.3  2.352  100
39.4  2.289  26
40.3  2.238  48
40.8  2.213  82
61.7  1.504  19
71.9  1.313  21
74.0  1.281  30
76.3  1.248  21

---

[2]
The following is a calculated X-ray diffraction stick pattern of CrTe2W2Se4. It was derived from DFT lattice parameters and positions (PBE), using Cu Kα, 1.54184 Å.

Structural model:
a = 3.370 Å, b = 3.370 Å, c = 22.473 Å
α = 90.00°, β = 90.00°, γ = 120.00°
Fractional positions:
Cr1 0.000 0.000 0.000
Te1 0.667 0.333 0.078
Te2 0.667 0.333 0.922
W1 0.000 0.000 0.646
W2 0.667 0.333 0.327
Se1 0.000 0.000 0.253
Se2 0.000 0.000 0.401
Se3 0.667 0.333 0.572
Se4 0.667 0.333 0.720

Largest 12 diffraction maxima, sorted by position, 10° ≤ 2θ ≤ 90°:
Position (°2θ)  d_spacing  intensity
11.8  7.491  100
30.6  2.919  36
32.9  2.719  14
34.6  2.590  17
36.7  2.448  60
41.8  2.160  13
44.8  2.024  44
54.5  1.685  25
55.9  1.644  12
67.5  1.388  10
73.1  1.295  10
76.0  1.253  10

---

[3]
The following is a calculated X-ray diffraction stick pattern of ThMgRh. It was derived from DFT lattice parameters and positions (PBE), using Cu Kα, 1.54184 Å.

Structural model:
a = 5.593 Å, b = 5.593 Å, c = 7.498 Å
α = 119.38°, β = 119.38°, γ = 43.47°
Fractional positions:
Th1 0.072 0.072 0.335
Th2 0.928 0.928 0.665
Mg1 0.320 0.320 0.929
Mg2 0.680 0.680 0.071
Rh1 0.341 0.341 0.335
Rh2 0.659 0.659 0.665

Largest 12 diffraction maxima, sorted by position, 10° ≤ 2θ ≤ 90°:
Position (°2θ)  d_spacing  intensity
13.9  6.367  100
23.7  3.750  49
30.3  2.954  86
32.6  2.751  86
35.3  2.540  48
35.9  2.502  72
37.5  2.398  28
42.6  2.122  35
43.7  2.071  36
45.8  1.981  34
57.4  1.606  37
62.7  1.483  34

---

[4]
The following is a calculated X-ray diffraction stick pattern of MgN. It was derived from DFT lattice parameters and positions (PBE), using Cu Kα, 1.54184 Å.

Structural model:
a = 3.604 Å, b = 3.604 Å, c = 4.186 Å
α = 107.20°, β = 107.20°, γ = 63.26°
Fractional positions:
Mg1 0.219 0.219 0.241
Mg2 0.781 0.781 0.759
N1 0.112 0.112 0.682
N2 0.888 0.888 0.318

Largest 12 diffraction maxima, sorted by position, 10° ≤ 2θ ≤ 90°:
Position (°2θ)  d_spacing  intensity
28.2  3.160  100
31.1  2.878  69
32.8  2.728  43
39.9  2.260  68
46.0  1.971  51
46.3  1.963  54
48.1  1.890  60
51.2  1.784  58
53.6  1.711  25
66.0  1.416  29
68.8  1.364  27
69.0  1.361  28

---

[5]
The following is a calculated X-ray diffraction stick pattern of CoPbBr2. It was derived from DFT lattice parameters and positions (PBE), using Cu Kα, 1.54184 Å.

Structural model:
a = 4.343 Å, b = 3.661 Å, c = 7.529 Å
α = 90.00°, β = 106.34°, γ = 90.00°
Fractional positions:
Co1 0.000 0.000 0.000
Pb1 0.464 0.500 0.925
Br1 0.114 0.500 0.234
Br2 0.841 0.000 0.671

Largest 12 diffraction maxima, sorted by position, 10° ≤ 2θ ≤ 90°:
Position (°2θ)  d_spacing  intensity
12.3  7.225  100
27.3  3.265  19
27.6  3.237  26
27.8  3.214  26
32.6  2.748  69
34.9  2.571  16
37.1  2.425  21
37.2  2.415  27
37.3  2.408  13
41.6  2.172  18
45.0  2.013  27
49.8  1.830  11

---

[6]
The following is a calculated X-ray diffraction stick pattern of Tb5Pr2Er12. It was derived from DFT lattice parameters and positions (PBE), using Cu Kα, 1.54184 Å.

Structural model:
a = 6.132 Å, b = 9.382 Å, c = 10.621 Å
α = 101.03°, β = 95.56°, γ = 90.11°
Fractional positions:
Tb1 0.000 0.000 0.000
Tb2 0.158 0.632 0.948
Tb3 0.262 0.053 0.580
Tb4 0.738 0.947 0.420
Tb5 0.842 0.368 0.052
Pr1 0.421 0.685 0.527
Pr2 0.579 0.315 0.473
Er1 0.053 0.210 0.314
Er2 0.104 0.421 0.633
Er3 0.211 0.843 0.261
Er4 0.316 0.263 0.896
Er5 0.368 0.474 0.208
Er6 0.474 0.895 0.844
Er7 0.526 0.105 0.156
Er8 0.632 0.526 0.792
Er9 0.684 0.737 0.104
Er10 0.789 0.157 0.739
Er11 0.896 0.579 0.367
Er12 0.947 0.790 0.686

Largest 12 diffraction maxima, sorted by position, 10° ≤ 2θ ≤ 90°:
Position (°2θ)  d_spacing  intensity
30.9  2.892  100
35.9  2.504  51
51.6  1.772  24
51.7  1.768  12
61.3  1.512  11
61.4  1.510  25
61.5  1.508  7
64.5  1.444  6
84.1  1.150  6
84.3  1.149  6
84.4  1.148  6
86.9  1.121  7

---

[7]
The following is a calculated X-ray diffraction stick pattern of Sr2Cd2Ag5. It was derived from DFT lattice parameters and positions (PBE), using Cu Kα, 1.54184 Å.

Structural model:
a = 7.822 Å, b = 7.822 Å, c = 7.576 Å
α = 103.55°, β = 103.55°, γ = 32.27°
Fractional positions:
Sr1 0.163 0.163 0.104
Sr2 0.837 0.837 0.896
Cd1 0.417 0.417 0.614
Cd2 0.583 0.583 0.386
Ag1 0.206 0.206 0.596
Ag2 0.384 0.384 0.237
Ag3 0.500 0.500 0.000
Ag4 0.616 0.616 0.763
Ag5 0.794 0.794 0.404

Largest 12 diffraction maxima, sorted by position, 10° ≤ 2θ ≤ 90°:
Position (°2θ)  d_spacing  intensity
21.3  4.166  84
27.5  3.240  44
31.3  2.856  92
33.6  2.665  43
35.7  2.514  34
36.7  2.452  94
37.1  2.421  61
38.8  2.319  60
40.0  2.255  34
41.5  2.176  100
58.2  1.586  35
65.6  1.423  24

---

[8]
The following is a calculated X-ray diffraction stick pattern of KSbI6. It was derived from DFT lattice parameters and positions (PBE), using Cu Kα, 1.54184 Å.

Structural model:
a = 6.970 Å, b = 8.086 Å, c = 8.479 Å
α = 70.03°, β = 68.54°, γ = 71.29°
Fractional positions:
K1 0.000 0.000 0.000
Sb1 0.500 0.500 0.500
I1 0.098 0.728 0.693
I2 0.263 0.356 0.386
I3 0.480 0.197 0.822
I4 0.520 0.803 0.178
I5 0.737 0.644 0.614
I6 0.902 0.272 0.307

Largest 12 diffraction maxima, sorted by position, 10° ≤ 2θ ≤ 90°:
Position (°2θ)  d_spacing  intensity
11.6  7.632  55
11.9  7.407  30
15.3  5.781  54
18.7  4.746  72
23.3  3.810  37
23.9  3.728  32
24.0  3.703  100
28.1  3.175  25
28.9  3.086  58
30.9  2.891  74
41.0  2.200  32
41.9  2.156  35

---

[9]
The following is a calculated X-ray diffraction stick pattern of Nd2MnAlS6. It was derived from DFT lattice parameters and positions (PBE), using Cu Kα, 1.54184 Å.

Structural model:
a = 6.303 Å, b = 7.184 Å, c = 11.051 Å
α = 90.00°, β = 124.59°, γ = 90.00°
Fractional positions:
Nd1 0.209 0.110 0.250
Nd2 0.209 0.390 0.750
Nd3 0.791 0.610 0.250
Nd4 0.791 0.890 0.750
Mn1 0.500 0.000 0.000
Mn2 0.500 0.500 0.500
Al1 0.000 0.000 0.500
Al2 0.000 0.500 0.000
S1 0.137 0.177 0.950
S2 0.137 0.323 0.450
S3 0.258 0.669 0.950
S4 0.258 0.831 0.450
S5 0.365 0.015 0.753
S6 0.365 0.485 0.253
S7 0.635 0.515 0.747
S8 0.635 0.985 0.247
S9 0.742 0.169 0.550
S10 0.742 0.331 0.050
S11 0.863 0.677 0.550
S12 0.863 0.823 0.050

Largest 12 diffraction maxima, sorted by position, 10° ≤ 2θ ≤ 90°:
Position (°2θ)  d_spacing  intensity
21.1  4.202  100
26.7  3.341  55
27.2  3.282  100
32.5  2.752  43
35.1  2.554  46
38.9  2.317  47
39.3  2.293  52
39.6  2.274  39
40.3  2.239  32
41.5  2.174  43
49.4  1.846  27
49.5  1.841  28

---

[10]
The following is a calculated X-ray diffraction stick pattern of Ca5Ge3O11. It was derived from DFT lattice parameters and positions (PBE), using Cu Kα, 1.54184 Å.

Structural model:
a = 7.059 Å, b = 7.060 Å, c = 11.155 Å
α = 85.04°, β = 84.72°, γ = 77.57°
Fractional positions:
Ca1 0.014 0.020 0.243
Ca2 0.081 0.456 0.759
Ca3 0.296 0.702 0.001
Ca4 0.321 0.678 0.499
Ca5 0.459 0.086 0.763
Ca6 0.541 0.914 0.237
Ca7 0.679 0.322 0.501
Ca8 0.704 0.298 0.999
Ca9 0.919 0.544 0.241
Ca10 0.986 0.980 0.757
Ge1 0.188 0.187 0.464
Ge2 0.208 0.210 0.016
Ge3 0.441 0.436 0.267
Ge4 0.559 0.564 0.733
Ge5 0.792 0.790 0.984
Ge6 0.812 0.813 0.536
O1 0.012 0.698 0.896
O2 0.030 0.715 0.608
O3 0.144 0.149 0.874
O4 0.162 0.161 0.621
O5 0.236 0.584 0.208
O6 0.284 0.969 0.390
O7 0.297 0.990 0.103
O8 0.355 0.352 0.425
O9 0.369 0.366 0.967
O10 0.411 0.769 0.793
O11 0.417 0.421 0.671
O12 0.583 0.579 0.329
O13 0.589 0.231 0.207
O14 0.631 0.634 0.033
O15 0.645 0.648 0.575
O16 0.703 0.010 0.897
O17 0.716 0.031 0.610
O18 0.764 0.416 0.792
O19 0.838 0.839 0.379
O20 0.856 0.851 0.126
O21 0.970 0.285 0.392
O22 0.988 0.302 0.104

Largest 12 diffraction maxima, sorted by position, 10° ≤ 2θ ≤ 90°:
Position (°2θ)  d_spacing  intensity
19.8  4.475  21
20.1  4.422  55
26.5  3.368  54
28.5  3.133  24
29.5  3.025  100
29.6  3.016  68
31.5  2.836  54
31.7  2.827  51
32.3  2.770  47
32.5  2.753  24
40.8  2.211  24
52.1  1.756  29

---

[11]
The following is a calculated X-ray diffraction stick pattern of SrLa2HfO6. It was derived from DFT lattice parameters and positions (PBE), using Cu Kα, 1.54184 Å.

Structural model:
a = 6.203 Å, b = 6.203 Å, c = 6.203 Å
α = 58.20°, β = 58.20°, γ = 58.20°
Fractional positions:
Sr1 0.000 0.000 0.000
La1 0.271 0.271 0.271
La2 0.774 0.774 0.774
Hf1 0.489 0.489 0.489
O1 0.129 0.662 0.396
O2 0.227 0.595 0.834
O3 0.396 0.129 0.662
O4 0.595 0.834 0.227
O5 0.662 0.396 0.129
O6 0.834 0.227 0.595

Largest 12 diffraction maxima, sorted by position, 10° ≤ 2θ ≤ 90°:
Position (°2θ)  d_spacing  intensity
17.9  4.948  13
20.5  4.323  14
28.8  3.099  100
29.6  3.017  98
41.8  2.162  43
46.5  1.955  24
50.5  1.806  14
52.0  1.757  43
52.5  1.742  28
61.5  1.508  13
69.3  1.356  16
85.1  1.140  12

---

[12]
The following is a calculated X-ray diffraction stick pattern of Ba2Np3O10. It was derived from DFT lattice parameters and positions (PBE), using Cu Kα, 1.54184 Å.

Structural model:
a = 10.373 Å, b = 10.373 Å, c = 8.410 Å
α = 112.32°, β = 112.32°, γ = 37.54°
Fractional positions:
Ba1 0.109 0.109 0.229
Ba2 0.202 0.202 0.836
Ba3 0.798 0.798 0.164
Ba4 0.891 0.891 0.771
Np1 0.246 0.754 0.500
Np2 0.317 0.317 0.478
Np3 0.418 0.418 0.023
Np4 0.582 0.582 0.977
Np5 0.683 0.683 0.522
Np6 0.754 0.246 0.500
O1 0.000 0.500 0.500
O2 0.020 0.020 0.676
O3 0.130 0.566 0.005
O4 0.131 0.651 0.470
O5 0.264 0.264 0.233
O6 0.292 0.708 0.000
O7 0.349 0.869 0.530
O8 0.370 0.370 0.733
O9 0.434 0.870 0.995
O10 0.476 0.476 0.319
O11 0.500 0.000 0.500
O12 0.524 0.524 0.681
O13 0.566 0.130 0.005
O14 0.630 0.630 0.267
O15 0.651 0.131 0.470
O16 0.708 0.292 0.000
O17 0.736 0.736 0.767
O18 0.869 0.349 0.530
O19 0.870 0.434 0.995
O20 0.980 0.980 0.324

Largest 12 diffraction maxima, sorted by position, 10° ≤ 2θ ≤ 90°:
Position (°2θ)  d_spacing  intensity
14.2  6.258  35
23.1  3.852  58
25.4  3.506  81
25.7  3.473  77
25.9  3.441  71
26.4  3.379  53
26.7  3.341  62
27.2  3.273  100
29.3  3.051  46
46.5  1.952  35
48.9  1.862  44
51.4  1.778  36